Structure and computed X-ray diffraction stick pattern of K2LiBP2O8 (a DFT-relaxed cell (PBE, the Materials Project); Cu Kα, 1.54184 Å).
No peak broadening, texture or thermal motion is included.

Crystal structure
```
K2LiBP2O8
1.0
8.465 0.000 0.000
0.000 8.904 0.000
-7.578 0.000 9.959
K Li B P O
8 4 4 8 32
Cartesian
-0.126 1.989 0.865
-3.915 2.463 5.845
-0.085 6.451 3.207
-3.874 6.904 8.187
4.762 2.000 1.773
0.973 2.452 6.752
4.803 6.441 4.114
1.014 6.914 9.094
-5.048 0.744 8.767
-1.259 3.708 3.787
2.147 5.196 6.172
5.936 8.160 1.193
2.999 5.222 1.252
-0.790 8.134 6.232
1.678 0.770 3.727
-2.111 3.682 8.707
-1.204 0.687 3.906
-4.993 3.765 8.886
-1.105 5.386 6.673
2.684 7.969 1.693
-1.796 0.934 8.266
1.993 3.517 3.286
5.880 5.139 1.074
2.092 8.217 6.053
-1.377 0.055 2.539
-5.165 4.397 7.518
-2.042 1.939 4.120
-5.831 2.513 9.099
2.227 4.878 0.019
-1.562 8.478 4.998
-1.517 4.955 5.274
2.271 8.401 0.294
-3.234 0.630 7.882
0.555 3.822 2.903
0.301 1.118 4.156
-3.488 3.334 9.136
-2.135 4.794 7.737
1.654 8.562 2.757
2.359 6.407 1.881
-1.429 6.948 6.860
2.317 1.955 3.099
-1.472 2.496 8.079
-0.766 0.342 7.202
3.023 4.110 2.222
4.375 5.570 0.823
0.587 7.786 5.803
0.333 5.082 7.057
4.122 8.274 2.077
-1.384 0.503 9.665
2.405 3.949 4.686
2.450 0.426 4.961
-1.339 4.026 9.941
6.718 6.390 0.860
2.930 6.965 5.840
6.053 4.507 2.441
2.264 8.849 7.421
```

Most intense lines, 10° ≤ 2θ ≤ 90°, in order of falling intensity:
30.7 deg, rel. 100, (2 1 -4)
29.2 deg, rel. 74, (2 2 -2)
35.2 deg, rel. 70, (0 3 2)
29.8 deg, rel. 59, (1 1 2)
22.6 deg, rel. 57, (1 2 -1)
28.0 deg, rel. 56, (1 0 2)
28.3 deg, rel. 50, (2 1 0)
23.7 deg, rel. 39, (1 1 -3)
13.1 deg, rel. 35, (1 0 0)
41.6 deg, rel. 34, (0 4 1)
33.5 deg, rel. 23, (1 3 -2)
32.3 deg, rel. 23, (3 0 -2)